1.
ScMnTlCd: calculated XRD peak list (Cu Kα (weighted mean of Kα1 and Kα2)), based on a DFT-relaxed cell (PBE, Alexandria).
No peak broadening, texture or thermal motion is included.

Peak list (12 most intense, 2θ from 10° to 90°, sorted by position)
(1 1 1), 22.42°, I = 96; (2 0 0), 25.95°, I = 326; (2 2 0), 37.03°, I = 1000; (3 1 1), 43.72°, I = 56; (2 2 2), 45.77°, I = 100; (4 0 0), 53.36°, I = 170; (3 3 1), 58.59°, I = 25; (4 2 0), 60.27°, I = 136; (4 2 2), 66.73°, I = 341; (4 4 0), 78.85°, I = 106; (5 3 1), 83.23°, I = 20; (6 0 0), 84.69°, I = 69

Structure:
Cell lengths 6.8673, 6.8673, 6.8673 Å; angles 90.00, 90.00, 90.00 degrees
Space group F-43m (No. 216)
Symmetry-distinct sites (fractional):
Sc  0.0000  0.0000  0.0000 x4
Mn  0.0000  0.0000  0.5000 x4
Tl  0.2500  0.2500  0.2500 x4
Cd  0.2500  0.2500  0.7500 x4

***

2.
AcLa2Ga4: calculated XRD peak list (Cu Kα (weighted mean of Kα1 and Kα2)), based on a DFT-relaxed cell (PBE, Alexandria).
No peak broadening, texture or thermal motion is included.

Peak list (12 most intense, 2θ from 10° to 90°, sorted by position)
(1 0 3), 24.81°, I = 249; (0 0 6), 27.84°, I = 170; (1 1 2), 29.81°, I = 1000; (0 1 5), 30.28°, I = 542; (1 1 4), 34.00°, I = 316; (1 0 7), 38.82°, I = 290; (0 2 0), 39.14°, I = 260; (2 0 0), 41.72°, I = 218; (2 1 5), 52.41°, I = 235; (0 1 11), 56.30°, I = 313; (2 2 0), 58.53°, I = 159; (1 3 2), 65.25°, I = 129

Structure:
Cell lengths 4.3305, 4.6029, 19.2298 Å; angles 90.00, 90.00, 90.00 degrees
Space group Immm (No. 71)
Symmetry-distinct sites (fractional):
Ac  0.0000  0.0000  0.0000 x2
La  0.0000  0.5000  0.3156 x4
Ga  0.0000  0.0000  0.4330 x4
Ga  0.0000  0.5000  0.1426 x4

***

3.
MgInAg3: calculated XRD peak list (Cu Kα (weighted mean of Kα1 and Kα2)), based on a DFT-relaxed cell (PBE, Alexandria).
No peak broadening, texture or thermal motion is included.

Peak list (12 most intense, 2θ from 10° to 90°, sorted by position)
(1 0 2), 25.05°, I = 260; (0 1 3), 33.16°, I = 238; (2 0 2), 34.65°, I = 242; (1 2 -1), 35.11°, I = 852; (3 0 -2), 36.99°, I = 1000; (1 0 -4), 37.66°, I = 342; (1 1 3), 37.86°, I = 383; (1 2 -2), 38.25°, I = 229; (2 1 2), 38.38°, I = 941; (2 2 -1), 40.47°, I = 579; (1 1 -4), 41.15°, I = 614; (0 2 3), 43.86°, I = 276

Structure:
Cell lengths 7.5924, 5.5429, 9.5780 Å; angles 90.00, 104.30, 90.00 degrees
Space group P2_1/c (No. 14)
Symmetry-distinct sites (fractional):
Mg  0.1606  0.1669  0.1936 x4
In  0.2617  0.6064  0.4026 x4
Ag  0.0580  0.6890  0.1014 x4
Ag  0.3342  0.1114  0.4982 x4
Ag  0.4544  0.6911  0.7019 x4

***

4.
U2Pd2AuS2: calculated XRD peak list (Cu Kα (weighted mean of Kα1 and Kα2)), based on a DFT-relaxed cell (PBE, Alexandria).
No peak broadening, texture or thermal motion is included.

Peak list (12 most intense, 2θ from 10° to 90°, sorted by position)
(0 0 2), 11.44°, I = 526; (0 0 3), 17.19°, I = 181; (1 0 1), 28.22°, I = 1000; (0 1 2), 29.98°, I = 295; (1 0 3), 32.71°, I = 416; (1 0 4), 36.23°, I = 210; (1 0 5), 40.36°, I = 440; (0 1 6), 44.98°, I = 454; (1 1 0), 48.83°, I = 376; (0 2 1), 57.36°, I = 143; (1 1 7), 65.48°, I = 185; (1 2 6), 88.63°, I = 142

Structure:
Cell lengths 3.7300, 3.7300, 15.4741 Å; angles 90.00, 90.00, 120.00 degrees
Space group P-3m1 (No. 164)
Symmetry-distinct sites (fractional):
U  0.3333  0.6667  0.2142 x2
Pd  0.0000  0.0000  0.3289 x2
Au  0.0000  0.0000  0.5000 x1
S  0.3333  0.6667  0.8859 x2

***

5.
Tl2HgCl8: calculated XRD peak list (Cu Kα (weighted mean of Kα1 and Kα2)), based on a DFT-relaxed cell (PBE, Alexandria).
No peak broadening, texture or thermal motion is included.

Peak list (12 most intense, 2θ from 10° to 90°, sorted by position)
(2 0 0), 13.42°, I = 151; (2 0 -2), 13.58°, I = 1000; (1 1 1), 17.47°, I = 286; (3 1 -1), 18.32°, I = 281; (2 2 0), 23.62°, I = 408; (4 2 -2), 27.89°, I = 534; (2 0 2), 29.33°, I = 151; (0 0 4), 37.15°, I = 198; (6 2 -4), 37.31°, I = 180; (8 0 -4), 40.44°, I = 192; (6 2 0), 45.73°, I = 150; (4 2 2), 46.90°, I = 121

Structure:
Cell lengths 17.8366, 9.1835, 13.0857 Å; angles 90.00, 132.30, 90.00 degrees
Space group C2/c (No. 15)
Symmetry-distinct sites (fractional):
Tl  0.2498  0.0398  0.0066 x8
Hg  0.0000  0.2030  0.2500 x4
Cl  0.1131  0.4680  0.2560 x8
Cl  0.1268  0.1883  0.4939 x8
Cl  0.1449  0.2417  0.9944 x8
Cl  0.1575  0.0263  0.2688 x8

***

6.
U2Cu2As3O: calculated XRD peak list (Cu Kα (weighted mean of Kα1 and Kα2)), based on a DFT-relaxed cell (PBE, Alexandria).
No peak broadening, texture or thermal motion is included.

Peak list (12 most intense, 2θ from 10° to 90°, sorted by position)
(1 0 2), 24.85°, I = 642; (1 0 4), 30.27°, I = 642; (1 1 0), 32.44°, I = 334; (1 0 5), 33.82°, I = 599; (0 0 7), 34.79°, I = 235; (1 1 3), 35.79°, I = 404; (1 1 4), 38.22°, I = 1000; (2 0 0), 46.53°, I = 679; (1 0 9), 51.20°, I = 267; (2 1 5), 58.76°, I = 255; (2 2 0), 67.92°, I = 239; (3 1 4), 80.71°, I = 228

Structure:
Cell lengths 3.9030, 3.9030, 18.0529 Å; angles 90.00, 90.00, 90.00 degrees
Space group P4/nmm (No. 129, origin choice 2)
Symmetry-distinct sites (fractional):
U  0.2500  0.2500  0.0702 x2
U  0.2500  0.2500  0.6259 x2
Cu  0.2500  0.7500  0.2309 x4
As  0.2500  0.2500  0.3226 x2
As  0.2500  0.2500  0.8516 x2
As  0.2500  0.7500  0.5000 x2
O  0.2500  0.7500  0.0000 x2

***

7.
Ba3SrTl: calculated XRD peak list (Cu Kα (weighted mean of Kα1 and Kα2)), based on a DFT-relaxed cell (PBE, Alexandria).
No peak broadening, texture or thermal motion is included.

Peak list (12 most intense, 2θ from 10° to 90°, sorted by position)
(0 0 1), 12.19°, I = 655; (2 0 0), 16.50°, I = 550; (0 0 2), 24.53°, I = 985; (4 0 -2), 24.73°, I = 324; (1 3 -1), 26.16°, I = 809; (4 0 -1), 26.57°, I = 328; (4 0 -3), 28.68°, I = 1000; (1 3 1), 31.08°, I = 553; (4 2 -1), 31.26°, I = 373; (3 3 -2), 31.82°, I = 419; (5 3 -1), 42.89°, I = 335; (3 5 -3), 50.40°, I = 394

Structure:
Cell lengths 14.4670, 10.9074, 9.7520 Å; angles 90.00, 132.05, 90.00 degrees
Space group C2/m (No. 12)
Symmetry-distinct sites (fractional):
Ba  0.0564  0.0000  0.2606 x4
Ba  0.2501  0.1949  0.7953 x8
Sr  0.0516  0.5000  0.3547 x4
Tl  0.2490  0.5000  0.8690 x4

***

8.
Cs4K11: calculated XRD peak list (Cu Kα (weighted mean of Kα1 and Kα2)), based on a DFT-relaxed cell (PBE, Alexandria).
No peak broadening, texture or thermal motion is included.

Peak list (12 most intense, 2θ from 10° to 90°, sorted by position)
(3 0 1), 18.76°, I = 432; (3 1 1), 19.50°, I = 263; (0 0 2), 20.22°, I = 370; (1 1 2), 21.56°, I = 290; (4 1 0), 21.76°, I = 677; (3 3 0), 22.40°, I = 366; (2 1 2), 23.45°, I = 345; (4 1 1), 24.03°, I = 1000; (3 3 1), 24.61°, I = 401; (5 2 2), 35.23°, I = 299; (4 1 3), 37.81°, I = 328; (5 5 1), 39.20°, I = 278

Structure:
Cell lengths 16.8383, 16.8383, 8.7828 Å; angles 90.00, 90.00, 90.00 degrees
Space group P4_2/mnm (No. 136)
Symmetry-distinct sites (fractional):
Cs  0.0451  0.3588  0.0000 x8
K  0.0000  0.0000  0.5000 x2
K  0.0717  0.2533  0.5000 x8
K  0.0904  0.0904  0.0000 x4
K  0.1762  0.8238  0.2471 x8

***

Repeat the third record exactly.
MgInAg3: calculated XRD peak list (Cu Kα (weighted mean of Kα1 and Kα2)), based on a DFT-relaxed cell (PBE, Alexandria).
No peak broadening, texture or thermal motion is included.

Peak list (12 most intense, 2θ from 10° to 90°, sorted by position)
(1 0 2), 25.05°, I = 260; (0 1 3), 33.16°, I = 238; (2 0 2), 34.65°, I = 242; (1 2 -1), 35.11°, I = 852; (3 0 -2), 36.99°, I = 1000; (1 0 -4), 37.66°, I = 342; (1 1 3), 37.86°, I = 383; (1 2 -2), 38.25°, I = 229; (2 1 2), 38.38°, I = 941; (2 2 -1), 40.47°, I = 579; (1 1 -4), 41.15°, I = 614; (0 2 3), 43.86°, I = 276

Structure:
Cell lengths 7.5924, 5.5429, 9.5780 Å; angles 90.00, 104.30, 90.00 degrees
Space group P2_1/c (No. 14)
Symmetry-distinct sites (fractional):
Mg  0.1606  0.1669  0.1936 x4
In  0.2617  0.6064  0.4026 x4
Ag  0.0580  0.6890  0.1014 x4
Ag  0.3342  0.1114  0.4982 x4
Ag  0.4544  0.6911  0.7019 x4